This entry pairs a crystal structure of La3Fe4AgO12 with its calculated X-ray diffraction stick pattern. Radiation: Cu Kα, 1.54184 Å. Structure: the PBE+U geometry in Alexandria.
Kinematic intensities with the Lorentz-polarization factor, no thermal factor.

Cell: 5.5333 7.9121 5.5397 Å, 90.00 90.03 90.00°
Space group Pm (No. 6)
Asymmetric unit:
La (0.0000, 0.0000, 0.0000) [1 per cell]
La (0.0512, 0.5000, 0.0121) [1 per cell]
La (0.4949, 0.0000, 0.5100) [1 per cell]
Fe (0.0188, 0.2555, 0.5047) [2 per cell]
Fe (0.5262, 0.2546, 0.0036) [2 per cell]
Ag (0.5333, 0.5000, 0.5079) [1 per cell]
O (0.0480, 0.0000, 0.4410) [1 per cell]
O (0.2415, 0.2180, 0.7860) [2 per cell]
O (0.3028, 0.2909, 0.2808) [2 per cell]
O (0.5152, 0.0000, 0.0739) [1 per cell]
O (0.5254, 0.5000, 0.9304) [1 per cell]
O (0.7498, 0.1960, 0.7301) [2 per cell]
O (0.8209, 0.2680, 0.2061) [2 per cell]
O (0.9857, 0.5000, 0.5728) [1 per cell]

Largest 10 diffraction maxima, by angle, 10° ≤ 2θ ≤ 80°:
2θ = 22.7°, d = 3.915 Å, intensity 12, hkl 1 0 -1
2θ = 32.2°, d = 2.783 Å, intensity 100, hkl 1 2 -1
2θ = 32.3°, d = 2.768 Å, intensity 48, hkl 2 0 0
2θ = 39.7°, d = 2.268 Å, intensity 22, hkl 0 2 2
2θ = 45.9°, d = 1.978 Å, intensity 15, hkl 0 4 0
2θ = 46.4°, d = 1.957 Å, intensity 29, hkl 2 0 2
2θ = 57.2°, d = 1.609 Å, intensity 21, hkl 0 4 2
2θ = 57.6°, d = 1.601 Å, intensity 39, hkl 1 2 -3
2θ = 67.3°, d = 1.391 Å, intensity 15, hkl 2 4 2
2θ = 76.9°, d = 1.239 Å, intensity 9, hkl 3 2 -3